Record 1
Ag7Pb: simulated powder diffractogram (Cu Ka), based on a cell relaxed with PBE.

Crystal structure
Unit cell a=2.950 b=2.950 c=41.816 alpha=90.00 beta=90.00 gamma=90.00
Space group P4/nmm (No. 129, origin choice 2)
Unique sites:
Ag (0.250, 0.250, 0.025) [2 per cell]
Ag (0.250, 0.250, 0.123) [2 per cell]
Ag (0.250, 0.250, 0.220) [2 per cell]
Ag (0.250, 0.250, 0.317) [2 per cell]
Ag (0.250, 0.250, 0.732) [2 per cell]
Ag (0.250, 0.250, 0.829) [2 per cell]
Ag (0.250, 0.250, 0.926) [2 per cell]
Pb (0.250, 0.250, 0.625) [2 per cell]

Peak list (6 most intense, 2θ from 15° to 90°, low angle first)
2theta	I_rel	index
37.30	100	1 0 10
38.63	12	1 0 11
43.27	13	0 0 20
43.38	37	1 1 0
62.97	27	2 0 0
75.57	24	2 1 10



Record 2
Ag10Pb: simulated powder diffractogram (Cu Ka), based on a cell relaxed with PBE.

Crystal structure
Unit cell a=9.194 b=4.060 c=29.867 alpha=90.00 beta=90.53 gamma=90.00
Space group C2/m (No. 12)
Unique sites:
Ag (0.048, 0.000, 0.204) [4 per cell]
Ag (0.049, 0.500, 0.047) [4 per cell]
Ag (0.050, 0.500, 0.733) [4 per cell]
Ag (0.052, 0.000, 0.891) [4 per cell]
Ag (0.145, 0.000, 0.299) [4 per cell]
Ag (0.148, 0.500, 0.141) [4 per cell]
Ag (0.151, 0.000, 0.984) [4 per cell]
Ag (0.151, 0.500, 0.828) [4 per cell]
Ag (0.248, 0.000, 0.078) [4 per cell]
Ag (0.250, 0.000, 0.765) [4 per cell]
Pb (0.155, 0.000, 0.663) [4 per cell]

Peak list (6 most intense, 2θ from 15° to 90°, low angle first)
2theta	I_rel	index
36.37	72	1 1 9
37.81	100	3 1 -3
38.76	58	1 1 10
43.52	27	4 0 6
43.89	25	2 0 -13
44.63	32	0 2 0



Record 3
RbAgPb: simulated powder diffractogram (Cu Ka), based on a cell relaxed with PBE.

Crystal structure
Unit cell a=4.8436 b=4.8436 c=35.7973 alpha=90.00 beta=90.00 gamma=120.00
Space group R-3m (No. 166, hexagonal axes)
Unique sites:
Rb (0.0000, 0.0000, 0.0830) [6 per cell]
Ag (0.0000, 0.0000, 0.1741) [6 per cell]
Pb (0.0000, 0.0000, 0.3497) [6 per cell]

Peak list (6 most intense, 2θ from 15° to 90°, low angle first)
2theta	I_rel	index
23.42	100	1 0 4
27.50	69	1 0 7
34.89	51	0 1 11
37.12	84	1 1 0
40.19	30	1 1 6
48.40	42	1 1 12



Record 4
Ag2PbS2: simulated powder diffractogram (Cu Ka), based on a cell relaxed with PBE.

Crystal structure
Unit cell a=7.970 b=9.579 c=5.857 alpha=90.00 beta=90.00 gamma=90.00
Space group Pbcm (No. 57)
Unique sites:
Ag (0.122, 0.067, 0.250) [4 per cell]
Ag (0.350, 0.250, 0.000) [4 per cell]
Pb (0.306, 0.591, 0.250) [4 per cell]
S (0.089, 0.138, 0.750) [4 per cell]
S (0.421, 0.594, 0.750) [4 per cell]

Peak list (6 most intense, 2θ from 15° to 90°, low angle first)
2theta	I_rel	index
24.00	77	0 2 1
28.65	70	2 1 1
35.94	52	0 2 2
36.04	100	2 3 0
39.32	74	2 1 2
49.18	49	0 4 2



Record 5
TmAgTe2PbS: simulated powder diffractogram (Cu Ka), based on a cell relaxed with PBE.

Crystal structure
Unit cell a=4.341 b=14.610 c=10.355 alpha=90.00 beta=90.00 gamma=90.00
Space group Cmcm (No. 63)
Unique sites:
Tm (0.000, 0.000, 0.000) [4 per cell]
Ag (0.000, 0.482, 0.250) [4 per cell]
Te (0.000, 0.353, 0.052) [8 per cell]
Pb (0.000, 0.269, 0.750) [4 per cell]
S (0.000, 0.076, 0.250) [4 per cell]

Peak list (6 most intense, 2θ from 15° to 90°, low angle first)
2theta	I_rel	index
27.52	99	1 3 0
28.87	79	1 3 1
32.60	100	1 3 2
33.74	72	1 1 3
41.12	65	1 5 2
41.61	52	2 0 0



Record 6
Ag2PbWS4: simulated powder diffractogram (Cu Ka), based on a cell relaxed with PBE.

Crystal structure
Unit cell a=11.184 b=11.519 c=6.072 alpha=90.00 beta=90.00 gamma=90.00
Space group Ama2 (No. 40)
Unique sites:
Ag (0.093, 0.082, 0.000) [8 per cell]
Pb (0.000, 0.000, 0.458) [4 per cell]
W (0.250, 0.258, 0.584) [4 per cell]
S (0.084, 0.273, 0.785) [8 per cell]
S (0.250, 0.096, 0.375) [4 per cell]
S (0.250, 0.415, 0.379) [4 per cell]

Peak list (6 most intense, 2θ from 15° to 90°, low angle first)
2theta	I_rel	index
18.32	54	1 1 1
22.16	100	2 2 0
28.64	63	1 3 1
29.16	72	3 1 1
36.22	47	4 1 1
37.14	50	2 2 2



Record 7
ScAgTePbSe2: simulated powder diffractogram (Cu Ka), based on a cell relaxed with PBE.

Crystal structure
Unit cell a=4.027 b=14.157 c=10.796 alpha=90.00 beta=90.00 gamma=90.00
Space group Cmcm (No. 63)
Unique sites:
Sc (0.000, 0.000, 0.000) [4 per cell]
Ag (0.000, 0.465, 0.250) [4 per cell]
Te (0.000, 0.101, 0.250) [4 per cell]
Pb (0.000, 0.217, 0.750) [4 per cell]
Se (0.000, 0.368, 0.045) [8 per cell]

Peak list (6 most intense, 2θ from 15° to 90°, low angle first)
2theta	I_rel	index
16.42	49	0 0 2
30.33	100	1 3 1
33.19	42	0 0 4
33.64	84	1 3 2
38.60	29	1 3 3
51.80	31	1 3 5



Record 8
ScAgTe2PbSe: simulated powder diffractogram (Cu Ka), based on a cell relaxed with PBE.

Crystal structure
Unit cell a=4.195 b=14.553 c=10.443 alpha=90.00 beta=90.00 gamma=90.00
Space group Cmcm (No. 63)
Unique sites:
Sc (0.000, 0.000, 0.000) [4 per cell]
Ag (0.000, 0.473, 0.250) [4 per cell]
Te (0.000, 0.356, 0.043) [8 per cell]
Pb (0.000, 0.252, 0.750) [4 per cell]
Se (0.000, 0.082, 0.250) [4 per cell]

Peak list (6 most intense, 2θ from 15° to 90°, low angle first)
2theta	I_rel	index
29.42	100	1 3 1
29.93	56	0 4 2
33.04	59	1 3 2
34.03	42	1 1 3
34.35	39	0 0 4
52.45	35	1 3 5